Starting from a structure optimized by DFT (GGA-PBE), the powder XRD pattern of Sr3Sc2Cu2S2O5 was simulated for λ = 1.5418 Å (Cu Kα).
Neutral-atom scattering factors, no anomalous dispersion.

Principal peaks in the range 10 to 80 degrees two-theta, sorted by position:
Position (°2θ)	d [Å]	I (rel.)
30.87	2.897	20
31.64	2.828	20
32.43	2.761	100
33.85	2.648	15
37.27	2.413	61
44.22	2.048	55
55.90	1.645	40
58.81	1.570	28
64.32	1.448	17
76.76	1.242	12

Cell and atoms:
Unit cell a=13.3961 b=13.3961 c=13.3961 alpha=162.41 beta=162.41 gamma=24.97
Fractional positions:
Sr (0.0000, 0.0000, 0.0000)
Sr (0.1449, 0.1449, 0.0000)
Sr (0.8551, 0.8551, 0.0000)
Sc (0.4237, 0.4237, 0.0000)
Sc (0.5763, 0.5763, 0.0000)
Cu (0.2500, 0.7500, 0.5000)
Cu (0.7500, 0.2500, 0.5000)
S (0.3008, 0.3008, 0.0000)
S (0.6992, 0.6992, 0.0000)
O (0.0867, 0.5867, 0.5000)
O (0.4133, 0.9133, 0.5000)
O (0.5000, 0.5000, 0.0000)
O (0.5867, 0.0867, 0.5000)
O (0.9133, 0.4133, 0.5000)

***

Starting from a structure optimized by DFT (GGA-PBE), the powder XRD pattern of MgTi2P2O10 was simulated for λ = 1.5418 Å (Cu Kα).
Neutral-atom scattering factors, no anomalous dispersion.

Principal peaks in the range 10 to 80 degrees two-theta, sorted by position:
Position (°2θ)	d [Å]	I (rel.)
15.54	5.704	24
18.96	4.681	25
27.11	3.289	63
29.39	3.039	36
30.84	2.900	100
31.24	2.863	63
31.37	2.852	39
36.73	2.447	24
44.43	2.039	21
53.04	1.727	26

Cell and atoms:
Unit cell a=8.9984 b=6.7273 c=10.0178 alpha=61.34 beta=41.00 gamma=77.66
Fractional positions:
Mg (0.0000, 0.0000, 0.0000)
Mg (0.2500, 0.2500, 0.2500)
Ti (0.1508, 0.6240, 0.6121)
Ti (0.6240, 0.1508, 0.6132)
Ti (0.6368, 0.6379, 0.6260)
Ti (0.6379, 0.6368, 0.0992)
P (0.0498, 0.4700, 0.0331)
P (0.2169, 0.8028, 0.2002)
P (0.4700, 0.0498, 0.4472)
P (0.8028, 0.2169, 0.7800)
O (0.0113, 0.3393, 0.6884)
O (0.0747, 0.3803, 0.8995)
O (0.2000, 0.8912, 0.3283)
O (0.2572, 0.9170, 0.5509)
O (0.2890, 0.5616, 0.9107)
O (0.3393, 0.0113, 0.9610)
O (0.3505, 0.6045, 0.1753)
O (0.3803, 0.0747, 0.6455)
O (0.4313, 0.5889, 0.4068)
O (0.5616, 0.2890, 0.2387)
O (0.5889, 0.4313, 0.5730)
O (0.6045, 0.3505, 0.8697)
O (0.6695, 0.9217, 0.3588)
O (0.6770, 0.8432, 0.6611)
O (0.6991, 0.9751, 0.9928)
O (0.8432, 0.6770, 0.8187)
O (0.8912, 0.2000, 0.5805)
O (0.9170, 0.2572, 0.2749)
O (0.9217, 0.6695, 0.0500)
O (0.9751, 0.6991, 0.3330)

***

Starting from a structure optimized by DFT (GGA-PBE), the powder XRD pattern of Ce6Al3Fe11 was simulated for λ = 1.5418 Å (Cu Kα).
Neutral-atom scattering factors, no anomalous dispersion.

Principal peaks in the range 10 to 80 degrees two-theta, sorted by position:
Position (°2θ)	d [Å]	I (rel.)
27.35	3.261	100
31.09	2.876	30
31.92	2.804	71
34.88	2.573	75
37.83	2.378	52
38.64	2.330	40
39.56	2.278	59
41.03	2.200	31
46.19	1.965	45
58.70	1.573	30

Cell and atoms:
Unit cell a=12.4118 b=12.4118 c=12.4118 alpha=141.74 beta=141.74 gamma=55.22
Fractional positions:
Ce (0.0000, 0.0000, 0.0000)
Ce (0.0834, 0.2516, 0.5000)
Ce (0.1270, 0.9758, 0.5000)
Ce (0.2131, 0.2131, 0.0000)
Ce (0.2516, 0.7516, 0.1682)
Ce (0.4758, 0.6270, 0.5000)
Ce (0.5000, 0.5000, 0.0000)
Ce (0.5834, 0.0834, 0.8318)
Ce (0.6270, 0.1270, 0.1511)
Ce (0.7131, 0.7131, 0.0000)
Ce (0.7516, 0.5834, 0.5000)
Ce (0.9758, 0.4758, 0.8489)
Al (0.0858, 0.5858, 0.2616)
Al (0.3242, 0.8242, 0.7384)
Al (0.3564, 0.3564, 0.0000)
Al (0.5858, 0.3242, 0.5000)
Al (0.8242, 0.0858, 0.5000)
Al (0.8564, 0.8564, 0.0000)
Fe (0.0371, 0.3175, 0.1438)
Fe (0.1057, 0.6057, 0.5000)
Fe (0.1209, 0.6209, 0.7293)
Fe (0.1737, 0.8933, 0.8562)
Fe (0.2217, 0.3652, 0.5000)
Fe (0.3175, 0.1737, 0.2804)
Fe (0.3441, 0.4926, 0.5000)
Fe (0.3652, 0.8652, 0.1435)
Fe (0.3916, 0.1209, 0.5000)
Fe (0.3933, 0.6737, 0.8562)
Fe (0.4926, 0.9926, 0.1485)
Fe (0.5371, 0.3933, 0.7196)
Fe (0.6057, 0.1057, 0.5000)
Fe (0.6209, 0.8916, 0.5000)
Fe (0.6737, 0.8175, 0.2804)
Fe (0.7217, 0.2217, 0.8565)
Fe (0.8175, 0.5371, 0.1438)
Fe (0.8441, 0.3441, 0.8515)
Fe (0.8652, 0.7217, 0.5000)
Fe (0.8916, 0.3916, 0.2707)
Fe (0.8933, 0.0371, 0.7196)
Fe (0.9926, 0.8441, 0.5000)

***

Starting from a structure optimized by DFT (GGA-PBE), the powder XRD pattern of LiCuO2 was simulated for λ = 1.5418 Å (Cu Kα).
Neutral-atom scattering factors, no anomalous dispersion.

Principal peaks in the range 10 to 80 degrees two-theta, sorted by position:
Position (°2θ)	d [Å]	I (rel.)
24.01	3.706	100
33.58	2.669	18
34.85	2.575	9
36.70	2.449	19
36.99	2.430	18
49.17	1.853	17
50.81	1.797	21
51.50	1.774	36
62.09	1.495	12
73.26	1.292	12

Cell and atoms:
Unit cell a=5.1494 b=5.3381 c=2.7562 alpha=90.00 beta=90.00 gamma=90.00
Fractional positions:
Li (0.0000, 0.0000, 0.0000)
Li (0.5000, 0.5000, 0.5000)
Cu (0.0000, 0.5000, 0.5000)
Cu (0.5000, 0.0000, 0.0000)
O (0.1964, 0.3564, 0.0000)
O (0.3036, 0.8564, 0.5000)
O (0.6964, 0.1436, 0.5000)
O (0.8036, 0.6436, 0.0000)

***

Starting from a structure optimized by DFT (GGA-PBE), the powder XRD pattern of Ti2Cr3Si was simulated for λ = 1.5418 Å (Cu Kα).
Neutral-atom scattering factors, no anomalous dispersion.

Principal peaks in the range 10 to 80 degrees two-theta, sorted by position:
Position (°2θ)	d [Å]	I (rel.)
22.08	4.026	15
37.48	2.399	12
39.99	2.255	66
43.56	2.078	16
43.93	2.061	69
45.06	2.012	100
69.32	1.356	18
72.11	1.310	14
74.56	1.273	25
79.97	1.200	18

Cell and atoms:
Unit cell a=4.7987 b=4.7987 c=8.0515 alpha=90.00 beta=90.00 gamma=120.00
Fractional positions:
Ti (0.3333, 0.6667, 0.0624)
Ti (0.3333, 0.6667, 0.4376)
Ti (0.6667, 0.3333, 0.5624)
Ti (0.6667, 0.3333, 0.9376)
Cr (0.1728, 0.3455, 0.7500)
Cr (0.1728, 0.8272, 0.7500)
Cr (0.3455, 0.1728, 0.2500)
Cr (0.6545, 0.8272, 0.7500)
Cr (0.8272, 0.1728, 0.2500)
Cr (0.8272, 0.6545, 0.2500)
Si (0.0000, 0.0000, 0.0000)
Si (0.0000, 0.0000, 0.5000)

***

Starting from a structure optimized by DFT (GGA-PBE), the powder XRD pattern of MgTe4Mo4S4 was simulated for λ = 1.5418 Å (Cu Kα).
Neutral-atom scattering factors, no anomalous dispersion.

Principal peaks in the range 10 to 80 degrees two-theta, sorted by position:
Position (°2θ)	d [Å]	I (rel.)
11.66	7.587	92
30.82	2.901	61
33.97	2.639	13
36.27	2.477	100
39.06	2.306	30
40.61	2.221	13
43.99	2.058	44
54.75	1.677	30
67.46	1.388	16
77.71	1.229	15

Cell and atoms:
Unit cell a=3.3533 b=3.3535 c=37.9356 alpha=90.00 beta=90.00 gamma=60.00
Fractional positions:
Mg (0.0000, 0.0000, 0.0000)
Te (0.0272, 0.0031, 0.7322)
Te (0.0271, 0.0030, 0.8319)
Te (0.6938, 0.6698, 0.1682)
Te (0.6938, 0.6697, 0.2679)
Mo (0.0271, 0.0031, 0.2180)
Mo (0.0271, 0.0031, 0.5939)
Mo (0.6938, 0.6697, 0.4062)
Mo (0.6938, 0.6697, 0.7821)
S (0.0272, 0.0031, 0.3662)
S (0.0271, 0.0030, 0.4461)
S (0.6938, 0.6698, 0.5540)
S (0.6937, 0.6697, 0.6337)

***

Starting from a structure optimized by DFT (GGA-PBE), the powder XRD pattern of NaInC4O10 was simulated for λ = 1.5418 Å (Cu Kα).
Neutral-atom scattering factors, no anomalous dispersion.

Principal peaks in the range 10 to 80 degrees two-theta, sorted by position:
Position (°2θ)	d [Å]	I (rel.)
14.36	6.167	100
18.62	4.765	34
25.95	3.434	15
32.88	2.724	34
34.57	2.595	12
41.07	2.198	12
44.12	2.053	14
48.92	1.862	7
49.11	1.855	8
49.47	1.842	8

Cell and atoms:
Unit cell a=8.0903 b=8.0903 c=12.9969 alpha=90.00 beta=90.00 gamma=120.00
Fractional positions:
Na (0.0000, 0.0000, 0.0000)
Na (0.0000, 0.0000, 0.3333)
Na (0.0000, 0.0000, 0.6667)
In (0.0000, 0.5000, 0.6667)
In (0.5000, 0.0000, 0.0000)
In (0.5000, 0.5000, 0.3333)
C (0.1955, 0.3909, 0.5000)
C (0.1955, 0.8045, 0.8333)
C (0.3067, 0.6133, 0.5000)
C (0.3067, 0.6933, 0.8333)
C (0.3867, 0.6933, 0.1667)
C (0.3909, 0.1955, 0.1667)
C (0.6091, 0.8045, 0.1667)
C (0.6133, 0.3067, 0.1667)
C (0.6933, 0.3067, 0.8333)
C (0.6933, 0.3867, 0.5000)
C (0.8045, 0.1955, 0.8333)
C (0.8045, 0.6091, 0.5000)
O (0.0000, 0.2032, 0.1667)
O (0.0000, 0.7968, 0.1667)
O (0.0837, 0.3085, 0.5743)
O (0.0837, 0.7752, 0.7591)
O (0.2032, 0.0000, 0.5000)
O (0.2032, 0.2032, 0.8333)
O (0.2248, 0.3085, 0.4257)
O (0.2248, 0.9163, 0.9076)
O (0.2517, 0.5572, 0.7698)
O (0.2517, 0.6945, 0.5636)
O (0.3055, 0.5572, 0.2302)
O (0.3055, 0.7483, 0.1031)
O (0.3085, 0.0837, 0.0924)
O (0.3085, 0.2248, 0.2409)
O (0.4428, 0.6945, 0.4364)
O (0.4428, 0.7483, 0.8969)
O (0.5572, 0.2517, 0.8969)
O (0.5572, 0.3055, 0.4364)
O (0.6915, 0.7752, 0.2409)
O (0.6915, 0.9163, 0.0924)
O (0.6945, 0.2517, 0.1031)
O (0.6945, 0.4428, 0.2302)
O (0.7483, 0.3055, 0.5636)
O (0.7483, 0.4428, 0.7698)
O (0.7752, 0.0837, 0.9076)
O (0.7752, 0.6915, 0.4257)
O (0.7968, 0.0000, 0.5000)
O (0.7968, 0.7968, 0.8333)
O (0.9163, 0.2248, 0.7591)
O (0.9163, 0.6915, 0.5743)

***

Starting from a structure optimized by DFT (GGA-PBE), the powder XRD pattern of AlTlO2 was simulated for λ = 1.5418 Å (Cu Kα).
Neutral-atom scattering factors, no anomalous dispersion.

Principal peaks in the range 10 to 80 degrees two-theta, sorted by position:
Position (°2θ)	d [Å]	I (rel.)
19.01	4.668	45
31.29	2.859	100
36.87	2.438	48
44.84	2.021	14
49.12	1.855	13
55.69	1.650	40
59.40	1.556	16
65.28	1.429	15
68.68	1.367	10
74.17	1.278	17

Cell and atoms:
Unit cell a=5.7173 b=5.7173 c=5.7173 alpha=60.00 beta=60.00 gamma=60.00
Fractional positions:
Al (0.1250, 0.1250, 0.1250)
Al (0.8750, 0.8750, 0.8750)
Tl (0.3750, 0.3750, 0.3750)
Tl (0.6250, 0.6250, 0.6250)
O (0.0000, 0.0000, 0.0000)
O (0.0000, 0.0000, 0.5000)
O (0.0000, 0.5000, 0.0000)
O (0.5000, 0.0000, 0.0000)